# 1
Starting from a crystal structure in the Materials Project, relaxed with PBE, the X-ray diffraction stick pattern of K2SIO7 was simulated for copper Kα.

Top 12 peaks for 2θ from 10° to 80°, sorted by position:
- 2θ 12.5, d 7.070, I = 57, hkl 0 0 2
- 2θ 13.7, d 6.456, I = 58, hkl 0 1 1
- 2θ 18.4, d 4.824, I = 75, hkl 1 1 -2
- 2θ 20.5, d 4.330, I = 57, hkl 1 1 1
- 2θ 21.4, d 4.159, I = 34, hkl 1 0 2
- 2θ 27.3, d 3.272, I = 100, hkl 1 2 -1
- 2θ 27.6, d 3.229, I = 78, hkl 2 0 -4
- 2θ 28.1, d 3.178, I = 77, hkl 0 1 4
- 2θ 28.6, d 3.123, I = 74, hkl 2 1 0
- 2θ 29.7, d 3.011, I = 31, hkl 1 1 3
- 2θ 30.5, d 2.930, I = 49, hkl 1 2 -3
- 2θ 46.5, d 1.953, I = 44, hkl 3 2 -5

Structure:
```
data_K2SIO7
_chemical_formula_sum 'K8 S4 I4 O28'
_cell_length_a 7.5996
_cell_length_b 7.2570
_cell_length_c 15.5317
_cell_angle_alpha 90.00
_cell_angle_beta 114.45
_cell_angle_gamma 90.00
_symmetry_space_group_name_H-M 'P 1 21/c 1'
_symmetry_Int_Tables_number 14
loop_
_symmetry_equiv_pos_as_xyz
'x,y,z'
'-x,-y,-z'
'-x,y+1/2,-z+1/2'
'x,-y+1/2,z+1/2'
loop_
_atom_site_label
_atom_site_fract_x
_atom_site_fract_y
_atom_site_fract_z
_atom_site_occupancy
K1 0.0709 0.1630 0.1799 1
K2 0.4109 0.6182 0.5813 1
S1 0.4192 0.6487 0.8430 1
I1 0.1294 0.1432 0.4467 1
O1 0.0264 0.5605 0.1721 1
O2 0.0497 0.7039 0.0071 1
O3 0.2025 0.1300 0.9231 1
O4 0.3190 0.6687 0.7382 1
O5 0.3233 0.7388 0.3907 1
O6 0.3759 0.2143 0.6266 1
O7 0.4168 0.0493 0.3683 1
```


# 2
Starting from a crystal structure in the Materials Project, relaxed with PBE, the X-ray diffraction stick pattern of CuH11C5NO6 was simulated for copper Kα.

Top 12 peaks for 2θ from 10° to 80°, sorted by position:
- 2θ 14.1, d 6.263, I = 100, hkl 1 1 -1
- 2θ 15.4, d 5.752, I = 33, hkl 2 0 0
- 2θ 20.0, d 4.429, I = 51, hkl 2 0 -2
- 2θ 20.2, d 4.397, I = 59, hkl 1 1 1
- 2θ 21.7, d 4.092, I = 35, hkl 3 1 -1
- 2θ 23.4, d 3.797, I = 24, hkl 0 2 1
- 2θ 28.5, d 3.131, I = 33, hkl 2 2 -2
- 2θ 31.5, d 2.838, I = 25, hkl 0 2 2
- 2θ 31.9, d 2.802, I = 19, hkl 3 1 -3
- 2θ 33.3, d 2.689, I = 19, hkl 3 1 1
- 2θ 37.0, d 2.429, I = 13, hkl 1 3 -2
- 2θ 41.1, d 2.199, I = 15, hkl 2 2 2

Structure:
```
data_CuH11C5NO6
_chemical_formula_sum 'Cu4 H44 C20 N4 O24'
_cell_length_a 13.8600
_cell_length_b 8.8497
_cell_length_c 8.9110
_cell_angle_alpha 90.00
_cell_angle_beta 123.90
_cell_angle_gamma 90.00
_symmetry_space_group_name_H-M 'C 1 2/c 1'
_symmetry_Int_Tables_number 15
loop_
_symmetry_equiv_pos_as_xyz
'x,y,z'
'-x,-y,-z'
'-x,y,-z+1/2'
'x,-y,z+1/2'
'x+1/2,y+1/2,z'
'-x+1/2,-y+1/2,-z'
'-x+1/2,y+1/2,-z+1/2'
'x+1/2,-y+1/2,z+1/2'
loop_
_atom_site_label
_atom_site_fract_x
_atom_site_fract_y
_atom_site_fract_z
_atom_site_occupancy
Cu1 0.2500 0.2500 0.0000 1
H1 0.0000 0.1635 0.7500 1
H2 0.0093 0.3524 0.0876 1
H3 0.0647 0.1149 0.2592 1
H4 0.0937 0.2047 0.5349 1
H5 0.1227 0.3508 0.4246 1
H6 0.2118 0.4728 0.2722 1
C1 0.0000 0.2885 0.7500 1
C2 0.0558 0.2792 0.4170 1
C3 0.2190 0.0403 0.2227 1
N1 0.0000 0.1863 0.2500 1
O1 0.0964 0.3583 0.8393 1
O2 0.1733 0.0099 0.8020 1
O3 0.1891 0.1659 0.1374 1
```


# 3
Starting from a crystal structure in the Materials Project, relaxed with PBE, the X-ray diffraction stick pattern of Cd3Fe2Cu10Sn5Se20 was simulated for copper Kα.

Top 12 peaks for 2θ from 10° to 80°, sorted by position:
- 2θ 21.5, d 4.125, I = 2, hkl 2 0 0
- 2θ 26.6, d 3.355, I = 100, hkl 2 0 2
- 2θ 34.5, d 2.603, I = 4, hkl 2 10 2
- 2θ 38.1, d 2.364, I = 3, hkl 0 10 4
- 2θ 43.9, d 2.063, I = 25, hkl 4 0 0
- 2θ 44.2, d 2.051, I = 47, hkl 2 10 4
- 2θ 52.0, d 1.757, I = 30, hkl 4 10 2
- 2θ 52.5, d 1.743, I = 13, hkl 2 0 6
- 2θ 63.8, d 1.459, I = 8, hkl 4 20 0
- 2θ 64.6, d 1.442, I = 3, hkl 0 0 8
- 2θ 70.4, d 1.338, I = 6, hkl 6 0 2
- 2θ 70.8, d 1.331, I = 10, hkl 2 20 6

Structure:
```
data_Cd3Fe2Cu10Sn5Se20
_chemical_formula_sum 'Cd12 Fe8 Cu40 Sn20 Se80'
_cell_length_a 8.2496
_cell_length_b 41.2612
_cell_length_c 11.5348
_cell_angle_alpha 90.00
_cell_angle_beta 90.00
_cell_angle_gamma 90.00
_symmetry_space_group_name_H-M 'F m m 2'
_symmetry_Int_Tables_number 42
_symmetry_space_group_name_Hall 'F 2 -2'
loop_
_atom_site_label
_atom_site_fract_x
_atom_site_fract_y
_atom_site_fract_z
_atom_site_occupancy
Cd1 0.0000 0.0000 0.0002 1
Cd2 0.0000 0.1001 0.5000 1
Fe1 0.0000 0.2000 0.0000 1
Cu1 0.2485 0.1504 0.7501 1
Cu2 0.2501 0.0500 0.2501 1
Cu3 0.2500 0.2500 0.2499 1
Sn1 0.0000 0.0000 0.5000 1
Sn2 0.0000 0.1006 0.9993 1
Sn3 0.0000 0.2006 0.5008 1
Se1 0.0000 0.0490 0.3583 1
Se2 0.0000 0.0512 0.8581 1
Se3 0.0000 0.1512 0.3582 1
Se4 0.0000 0.1532 0.8673 1
Se5 0.0000 0.2469 0.8672 1
Se6 0.2346 0.2001 0.1320 1
Se7 0.2447 0.0000 0.6418 1
Se8 0.2455 0.1001 0.1425 1
```